No. 1
CaMg6Al: calculated powder diffraction line list (copper Kα), based on a structure optimized by DFT (GGA-PBE).
No peak broadening, texture or thermal motion is included.

Crystal structure
Cell: 5.161 6.446 11.527 Å, 90.00 90.00 90.00°
Fractional coordinates of all 16 atoms:
1 Ca 0.000 0.000 0.000
2 Ca 0.000 0.500 0.500
3 Mg 0.000 0.247 0.249
4 Mg 0.000 0.253 0.749
5 Mg 0.000 0.747 0.749
6 Mg 0.000 0.753 0.249
7 Mg 0.500 0.000 0.170
8 Mg 0.500 0.000 0.661
9 Mg 0.500 0.238 0.414
10 Mg 0.500 0.262 0.914
11 Mg 0.500 0.500 0.161
12 Mg 0.500 0.500 0.670
13 Mg 0.500 0.738 0.914
14 Mg 0.500 0.762 0.414
15 Al 0.000 0.000 0.494
16 Al 0.000 0.500 0.994

Peak list (12 most intense, 2θ from 10° to 90°, in order of rising 2θ)
2θ 31.03, I 13; 2θ 31.81, I 25; 2θ 34.77, I 38; 2θ 35.68, I 53; 2θ 36.37, I 100; 2θ 47.83, I 15; 2θ 55.70, I 18; 2θ 62.92, I 9; 2θ 63.37, I 18; 2θ 67.35, I 20; 2θ 68.66, I 9; 2θ 69.23, I 13

No. 2
AgHg: calculated powder diffraction line list (copper Kα), based on a structure optimized by DFT (GGA-PBE).
No peak broadening, texture or thermal motion is included.

Crystal structure
Cell: 5.531 5.531 5.531 Å, 90.00 90.00 90.00°
Fractional coordinates of all 8 atoms:
1 Ag 0.149 0.351 0.649
2 Ag 0.351 0.649 0.149
3 Ag 0.649 0.149 0.351
4 Ag 0.851 0.851 0.851
5 Hg 0.155 0.155 0.155
6 Hg 0.345 0.845 0.655
7 Hg 0.655 0.345 0.845
8 Hg 0.845 0.655 0.345

Peak list (12 most intense, 2θ from 10° to 90°, in order of rising 2θ)
2θ 22.73, I 8; 2θ 27.94, I 14; 2θ 32.37, I 13; 2θ 36.32, I 100; 2θ 39.92, I 50; 2θ 49.43, I 10; 2θ 55.06, I 10; 2θ 62.86, I 38; 2θ 67.76, I 8; 2θ 70.15, I 8; 2θ 74.82, I 11; 2θ 79.39, I 13

No. 3
Cs2RbYBr6: calculated powder diffraction line list (copper Kα), based on a structure optimized by DFT (GGA-PBE).
No peak broadening, texture or thermal motion is included.

Crystal structure
Cell: 8.607 8.607 8.607 Å, 60.00 60.00 60.00°
Fractional coordinates of all 10 atoms:
1 Cs 0.250 0.250 0.250
2 Cs 0.750 0.750 0.750
3 Rb 0.000 0.000 0.000
4 Y 0.500 0.500 0.500
5 Br 0.270 0.270 0.730
6 Br 0.270 0.730 0.270
7 Br 0.270 0.730 0.730
8 Br 0.730 0.270 0.270
9 Br 0.730 0.270 0.730
10 Br 0.730 0.730 0.270

Peak list (12 most intense, 2θ from 10° to 90°, in order of rising 2θ)
2θ 20.64, I 46; 2θ 25.35, I 74; 2θ 29.35, I 100; 2θ 36.15, I 19; 2θ 41.99, I 70; 2θ 47.23, I 13; 2θ 49.68, I 29; 2θ 52.05, I 24; 2θ 56.58, I 13; 2θ 60.89, I 11; 2θ 69.01, I 28; 2θ 76.71, I 20